# 1
For Sm2Ga2Fe15C3, the GGA-PBE geometry in Alexandria gives the computed PXRD pattern in this record (Cu Kα (λ = 1.5418 Å)).
Kinematic intensities with the Lorentz-polarization factor, no thermal factor.

Cell and atoms:
```
data_Sm2Ga2Fe15C3
_space_group_name_H-M_alt 'R -3 m'
_space_group_IT_number 166
_space_group_name_Hall '-R 3 2"'
_cell_length_a 8.7394
_cell_length_b 8.7394
_cell_length_c 12.5918
_cell_angle_alpha 90.00
_cell_angle_beta 90.00
_cell_angle_gamma 120.00
loop_
_atom_site_label
_atom_site_fract_x
_atom_site_fract_y
_atom_site_fract_z
Sm1 0.0000 0.0000 0.1506
Ga1 0.0000 0.0000 0.3973
Fe1 0.0000 0.2851 0.5000
Fe2 0.0000 0.5000 0.0000
Fe3 0.0067 0.5034 0.3472
C1 0.0000 0.5000 0.5000
```

Top 12 peaks for 2θ = 5–70°, in order of rising 2θ:
29.51°, 3.027 Å, intensity 33, hkl 1 1 3
30.76°, 2.907 Å, intensity 21, hkl 1 0 4
35.59°, 2.523 Å, intensity 49, hkl 3 0 0
37.15°, 2.420 Å, intensity 44, hkl 0 2 4
41.32°, 2.185 Å, intensity 89, hkl 2 2 0
41.77°, 2.162 Å, intensity 100, hkl 3 0 3
42.71°, 2.117 Å, intensity 33, hkl 2 1 4
43.12°, 2.098 Å, intensity 49, hkl 0 0 6
46.88°, 1.938 Å, intensity 24, hkl 2 2 3
60.21°, 1.537 Å, intensity 18, hkl 1 4 3
60.94°, 1.520 Å, intensity 19, hkl 3 2 4
61.24°, 1.514 Å, intensity 18, hkl 2 2 6

# 2
For Dy3Tm, the GGA-PBE geometry in Alexandria gives the computed PXRD pattern in this record (Cu Kα (λ = 1.5418 Å)).
Kinematic intensities with the Lorentz-polarization factor, no thermal factor.

Cell and atoms:
```
data_Dy3Tm
_space_group_name_H-M_alt 'I m m 2'
_space_group_IT_number 44
_cell_length_a 3.6018
_cell_length_b 11.1941
_cell_length_c 6.2254
_cell_angle_alpha 90.00
_cell_angle_beta 90.00
_cell_angle_gamma 90.00
loop_
_space_group_symop_operation_xyz
'x,y,z'
'-x,-y,z'
'-x,y,z'
'x,-y,z'
'x+1/2,y+1/2,z+1/2'
'-x+1/2,-y+1/2,z+1/2'
'-x+1/2,y+1/2,z+1/2'
'x+1/2,-y+1/2,z+1/2'
loop_
_atom_site_label
_atom_site_fract_x
_atom_site_fract_y
_atom_site_fract_z
Dy1 0.0000 0.0000 0.0000
Dy2 0.0000 0.2490 0.6667
Tm1 0.0000 0.5000 0.9984
```

Top 12 peaks for 2θ = 5–70°, in order of rising 2θ:
28.65°, 3.116 Å, intensity 24, hkl 1 0 1
31.98°, 2.799 Å, intensity 24, hkl 0 4 0
32.90°, 2.722 Å, intensity 100, hkl 0 2 2
43.46°, 2.082 Å, intensity 16, hkl 1 4 1
50.75°, 1.799 Å, intensity 20, hkl 2 0 0
57.58°, 1.601 Å, intensity 20, hkl 0 6 2
59.28°, 1.559 Å, intensity 2, hkl 2 0 2
59.38°, 1.556 Å, intensity 1, hkl 0 0 4
61.25°, 1.513 Å, intensity 23, hkl 2 4 0
61.81°, 1.501 Å, intensity 16, hkl 2 2 2
66.86°, 1.399 Å, intensity 3, hkl 0 8 0
68.99°, 1.361 Å, intensity 4, hkl 0 4 4